[1]
Computed powder XRD pattern of SnP2PdO for Cu Kα, from a crystal structure in Alexandria, relaxed with GGA-PBE.

Principal peaks in the range 10 to 80 degrees two-theta, sorted by position:
| d (Å) | Rel. int. |
| --- | --- |
| 3.415 | 51 |
| 3.030 | 100 |
| 2.415 | 56 |
| 1.889 | 53 |
| 1.708 | 19 |
| 1.515 | 25 |

```
data_SnP2PdO
_symmetry_space_group_name_H-M 'P 4/m m m'
_symmetry_Int_Tables_number 123
_symmetry_space_group_name_Hall '-P 4 2'
_cell_length_a 4.830
_cell_length_b 4.830
_cell_length_c 3.892
_cell_angle_alpha 90.00
_cell_angle_beta 90.00
_cell_angle_gamma 90.00
loop_
_atom_site_label
_atom_site_type_symbol
_atom_site_fract_x
_atom_site_fract_y
_atom_site_fract_z
Sn1 Sn 0.000 0.000 0.000
P1 P 0.000 0.500 0.500
Pd1 Pd 0.500 0.500 0.500
O1 O 0.500 0.500 0.000
```

[2]
Computed powder XRD pattern of Np2Pd8Pt for Cu Kα, from a crystal structure in Alexandria, relaxed with GGA-PBE.

Principal peaks in the range 10 to 80 degrees two-theta, sorted by position:
| d (Å) | Rel. int. |
| --- | --- |
| 4.206 | 20 |
| 2.797 | 13 |
| 2.329 | 100 |
| 2.103 | 40 |
| 1.399 | 16 |
| 1.253 | 28 |

```
data_Np2Pd8Pt
_symmetry_space_group_name_H-M 'P 4/m m m'
_symmetry_Int_Tables_number 123
_symmetry_space_group_name_Hall '-P 4 2'
_cell_length_a 4.206
_cell_length_b 4.206
_cell_length_c 11.238
_cell_angle_alpha 90.00
_cell_angle_beta 90.00
_cell_angle_gamma 90.00
loop_
_atom_site_label
_atom_site_type_symbol
_atom_site_fract_x
_atom_site_fract_y
_atom_site_fract_z
Np1 Np 0.000 0.000 0.184
Pd1 Pd 0.000 0.500 0.000
Pd2 Pd 0.000 0.500 0.352
Pd3 Pd 0.500 0.500 0.176
Pt1 Pt 0.000 0.000 0.500
```